Pm2SiAg: theoretical X-ray powder pattern (Cu Kα), based on a crystal structure in Alexandria, relaxed with GGA-PBE.

a b c (Å): 5.142 5.142 3.738
angles (deg): 90.00 90.00 90.00
Element x y z (fractional)
Pm 0.000 0.500 0.000
Pm 0.500 0.000 0.000
Si 0.000 0.000 0.500
Ag 0.500 0.500 0.500

Largest 8 diffraction maxima, sorted by position, 5° ≤ 2θ ≤ 70°:
17.2°, I 10, (1 0 0)
24.5°, I 14, (1 1 0)
34.4°, I 100, (1 1 1)
34.9°, I 48, (2 0 0)
48.7°, I 9, (0 0 2)
50.2°, I 17, (2 2 0)
61.3°, I 18, (2 0 2)
62.3°, I 35, (3 1 1)